Diffraction record for LaCd4Au4. The X-ray diffraction stick pattern is simulated, not measured: it uses DFT lattice parameters and positions (GGA-PBE) and Cu Kα X-rays.

Atomic structure:
a = 6.5508 Å, b = 6.5508 Å, c = 9.5997 Å
α = 90.00°, β = 90.00°, γ = 90.00°
Sites, in units of the cell vectors:
La1 0.2500 0.7500 0.2500
La2 0.7500 0.2500 0.7500
Cd1 0.0247 0.2500 0.1676
Cd2 0.2500 0.0247 0.6676
Cd3 0.2500 0.4753 0.6676
Cd4 0.4753 0.2500 0.1676
Cd5 0.5247 0.7500 0.8324
Cd6 0.7500 0.5247 0.3324
Cd7 0.7500 0.9753 0.3324
Cd8 0.9753 0.7500 0.8324
Au1 0.0242 0.2500 0.4666
Au2 0.2500 0.0242 0.9666
Au3 0.2500 0.4758 0.9666
Au4 0.4758 0.2500 0.4666
Au5 0.5242 0.7500 0.5334
Au6 0.7500 0.5242 0.0334
Au7 0.7500 0.9758 0.0334
Au8 0.9758 0.7500 0.5334

Top 10 peaks for 10° ≤ 2θ ≤ 90°, by intensity:
2θ/deg	d/Å	I (rel.)
39.4	2.289	100
31.9	2.802	61
28.8	3.100	56
38.9	2.316	50
64.3	1.448	30
70.7	1.332	29
40.0	2.253	27
56.2	1.638	25
43.4	2.086	24
31.1	2.875	18

Diffraction record for La3CdAu5. The X-ray diffraction stick pattern is simulated, not measured: it uses DFT lattice parameters and positions (GGA-PBE) and Cu Kα X-rays.

Atomic structure:
a = 9.0536 Å, b = 9.0536 Å, c = 6.3321 Å
α = 90.00°, β = 90.00°, γ = 120.00°
Sites, in units of the cell vectors:
La1 0.0000 0.3602 0.2500
La2 0.0000 0.6398 0.7500
La3 0.3602 0.0000 0.2500
La4 0.3602 0.3602 0.7500
La5 0.6398 0.0000 0.7500
La6 0.6398 0.6398 0.2500
Cd1 0.0000 0.0000 0.0000
Cd2 0.0000 0.0000 0.5000
Au1 0.0000 0.3015 0.7500
Au2 0.0000 0.6985 0.2500
Au3 0.3015 0.0000 0.7500
Au4 0.3015 0.3015 0.2500
Au5 0.3333 0.6667 0.0000
Au6 0.3333 0.6667 0.5000
Au7 0.6667 0.3333 0.0000
Au8 0.6667 0.3333 0.5000
Au9 0.6985 0.0000 0.2500
Au10 0.6985 0.6985 0.7500

Top 10 peaks for 10° ≤ 2θ ≤ 90°, by intensity:
2θ/deg	d/Å	I (rel.)
34.3	2.614	100
34.6	2.594	97
49.5	1.841	32
61.6	1.505	29
69.4	1.354	26
33.4	2.684	16
61.4	1.509	14
82.7	1.167	12
89.8	1.092	11
58.3	1.583	8

Diffraction record for LaCd5Au3. The X-ray diffraction stick pattern is simulated, not measured: it uses DFT lattice parameters and positions (GGA-PBE) and Cu Kα X-rays.

Atomic structure:
a = 7.7178 Å, b = 7.7178 Å, c = 13.4402 Å
α = 90.00°, β = 90.00°, γ = 147.72°
Sites, in units of the cell vectors:
La1 0.1798 0.8202 0.7500
La2 0.8202 0.1798 0.2500
Cd1 0.0000 0.0000 0.0000
Cd2 0.0000 0.0000 0.5000
Cd3 0.1948 0.8052 0.0456
Cd4 0.1948 0.8052 0.4544
Cd5 0.4348 0.5652 0.6425
Cd6 0.4348 0.5652 0.8575
Cd7 0.5652 0.4348 0.1425
Cd8 0.5652 0.4348 0.3575
Cd9 0.8052 0.1948 0.5456
Cd10 0.8052 0.1948 0.9544
Au1 0.1567 0.8433 0.2500
Au2 0.3819 0.6181 0.0866
Au3 0.3819 0.6181 0.4134
Au4 0.6181 0.3819 0.5866
Au5 0.6181 0.3819 0.9134
Au6 0.8433 0.1567 0.7500

Top 10 peaks for 10° ≤ 2θ ≤ 90°, by intensity:
2θ/deg	d/Å	I (rel.)
34.4	2.604	100
36.8	2.440	80
42.1	2.145	68
30.6	2.919	49
29.4	3.033	41
41.7	2.164	35
40.0	2.252	30
37.5	2.400	27
45.6	1.991	24
23.2	3.834	23

Diffraction record for LaCd3Au2. The X-ray diffraction stick pattern is simulated, not measured: it uses DFT lattice parameters and positions (GGA-PBE) and Cu Kα X-rays.

Atomic structure:
a = 9.0401 Å, b = 9.0401 Å, c = 9.0401 Å
α = 154.06°, β = 114.79°, γ = 71.43°
Sites, in units of the cell vectors:
La1 0.1370 0.1370 0.0000
La2 0.8630 0.8630 0.0000
Cd1 0.1210 0.3291 0.7919
Cd2 0.3541 0.0000 0.3541
Cd3 0.4628 0.6709 0.7919
Cd4 0.5372 0.3291 0.2081
Cd5 0.6459 0.0000 0.6459
Cd6 0.8790 0.6709 0.2081
Au1 0.1465 0.5000 0.6465
Au2 0.3074 0.8074 0.5000
Au3 0.6926 0.1926 0.5000
Au4 0.8535 0.5000 0.3535

Top 10 peaks for 10° ≤ 2θ ≤ 90°, by intensity:
2θ/deg	d/Å	I (rel.)
34.1	2.630	100
37.5	2.397	92
34.2	2.622	63
44.7	2.029	61
29.3	3.050	53
36.7	2.447	48
39.0	2.312	40
62.5	1.487	40
59.1	1.562	23
20.3	4.373	23

Diffraction record for La2CdAuO5. The X-ray diffraction stick pattern is simulated, not measured: it uses DFT lattice parameters and positions (GGA-PBE) and Cu Kα X-rays.

Atomic structure:
a = 7.0685 Å, b = 7.0685 Å, c = 5.8805 Å
α = 90.00°, β = 90.00°, γ = 90.00°
Sites, in units of the cell vectors:
La1 0.1807 0.3193 0.0000
La2 0.3193 0.8193 0.0000
La3 0.6807 0.1807 0.0000
La4 0.8193 0.6807 0.0000
Cd1 0.0000 0.0000 0.5000
Cd2 0.5000 0.5000 0.5000
Au1 0.0000 0.5000 0.5000
Au2 0.5000 0.0000 0.5000
O1 0.0000 0.0000 0.0000
O2 0.1326 0.6326 0.2421
O3 0.1326 0.6326 0.7579
O4 0.3674 0.1326 0.2421
O5 0.3674 0.1326 0.7579
O6 0.5000 0.5000 0.0000
O7 0.6326 0.8674 0.2421
O8 0.6326 0.8674 0.7579
O9 0.8674 0.3674 0.2421
O10 0.8674 0.3674 0.7579

Top 10 peaks for 10° ≤ 2θ ≤ 90°, by intensity:
2θ/deg	d/Å	I (rel.)
29.5	3.029	100
30.4	2.940	30
35.9	2.499	26
32.1	2.784	25
53.5	1.714	24
47.8	1.904	23
42.0	2.153	19
17.7	4.998	16
43.3	2.089	14
55.1	1.666	11

Diffraction record for LaZn2CdAu2. The X-ray diffraction stick pattern is simulated, not measured: it uses DFT lattice parameters and positions (GGA-PBE) and Cu Kα X-rays.

Atomic structure:
a = 4.5888 Å, b = 4.5888 Å, c = 6.9659 Å
α = 90.00°, β = 90.00°, γ = 120.00°
Sites, in units of the cell vectors:
La1 0.0000 0.0000 0.0000
Zn1 0.3333 0.6667 0.3018
Zn2 0.6667 0.3333 0.6982
Cd1 0.0000 0.0000 0.5000
Au1 0.3333 0.6667 0.7264
Au2 0.6667 0.3333 0.2736

Top 10 peaks for 10° ≤ 2θ ≤ 90°, by intensity:
2θ/deg	d/Å	I (rel.)
34.2	2.619	100
39.3	2.294	87
25.8	3.452	44
53.1	1.726	28
68.0	1.379	27
67.5	1.387	21
71.2	1.325	15
45.2	2.005	14
47.5	1.916	10
84.4	1.147	10

Diffraction record for La3Zn2Cd2Au4. The X-ray diffraction stick pattern is simulated, not measured: it uses DFT lattice parameters and positions (GGA-PBE) and Cu Kα X-rays.

Atomic structure:
a = 4.7159 Å, b = 4.7159 Å, c = 14.1313 Å
α = 90.00°, β = 90.00°, γ = 120.00°
Sites, in units of the cell vectors:
La1 0.0000 0.0000 0.0000
La2 0.0000 0.0000 0.2630
La3 0.0000 0.0000 0.7370
Zn1 0.3333 0.6667 0.1370
Zn2 0.6667 0.3333 0.8630
Cd1 0.3333 0.6667 0.5659
Cd2 0.6667 0.3333 0.4341
Au1 0.3333 0.6667 0.3642
Au2 0.3333 0.6667 0.8722
Au3 0.6667 0.3333 0.1278
Au4 0.6667 0.3333 0.6358

Top 10 peaks for 10° ≤ 2θ ≤ 90°, by intensity:
2θ/deg	d/Å	I (rel.)
38.2	2.358	100
33.5	2.672	94
25.2	3.535	57
66.1	1.414	43
51.7	1.768	33
44.4	2.040	26
46.3	1.961	23
28.9	3.086	18
69.0	1.361	17
73.3	1.291	12

Diffraction record for LaZnCd8Au2. The X-ray diffraction stick pattern is simulated, not measured: it uses DFT lattice parameters and positions (GGA-PBE) and Cu Kα X-rays.

Atomic structure:
a = 5.1190 Å, b = 5.1190 Å, c = 11.8816 Å
α = 99.23°, β = 99.23°, γ = 66.91°
Sites, in units of the cell vectors:
La1 0.0000 0.0000 0.0000
Zn1 0.0000 0.0000 0.5000
Cd1 0.2464 0.7486 0.7020
Cd2 0.2514 0.7536 0.2980
Cd3 0.2848 0.2848 0.8464
Cd4 0.3176 0.3176 0.4704
Cd5 0.6824 0.6824 0.5296
Cd6 0.7152 0.7152 0.1536
Cd7 0.7486 0.2464 0.7020
Cd8 0.7536 0.2514 0.2980
Au1 0.3638 0.3638 0.0919
Au2 0.6362 0.6362 0.9081

Top 10 peaks for 10° ≤ 2θ ≤ 90°, by intensity:
2θ/deg	d/Å	I (rel.)
35.3	2.540	100
34.4	2.611	83
35.9	2.504	80
36.5	2.460	73
28.2	3.163	72
41.4	2.183	45
39.5	2.283	45
34.5	2.603	36
38.5	2.341	35
43.2	2.096	32

Diffraction record for LiCd6Au2. The X-ray diffraction stick pattern is simulated, not measured: it uses DFT lattice parameters and positions (GGA-PBE) and Cu Kα X-rays.

Atomic structure:
a = 4.8051 Å, b = 4.8051 Å, c = 9.0188 Å
α = 90.00°, β = 90.00°, γ = 120.00°
Sites, in units of the cell vectors:
Li1 0.0000 0.0000 0.0000
Cd1 0.0000 0.0000 0.3151
Cd2 0.0000 0.0000 0.6849
Cd3 0.3333 0.6667 0.5406
Cd4 0.3333 0.6667 0.8852
Cd5 0.6667 0.3333 0.1148
Cd6 0.6667 0.3333 0.4594
Au1 0.3333 0.6667 0.2014
Au2 0.6667 0.3333 0.7986

Top 10 peaks for 10° ≤ 2θ ≤ 90°, by intensity:
2θ/deg	d/Å	I (rel.)
37.4	2.403	100
36.9	2.437	94
53.6	1.711	31
67.2	1.394	31
23.5	3.778	19
67.5	1.387	17
66.1	1.414	17
21.4	4.161	13
48.5	1.877	12
79.8	1.201	11

Diffraction record for LiCd2Au9. The X-ray diffraction stick pattern is simulated, not measured: it uses DFT lattice parameters and positions (GGA-PBE) and Cu Kα X-rays.

Atomic structure:
a = 4.1662 Å, b = 4.1662 Å, c = 12.4793 Å
α = 90.00°, β = 90.00°, γ = 90.00°
Sites, in units of the cell vectors:
Li1 0.0000 0.0000 0.0000
Cd1 0.0000 0.0000 0.3291
Cd2 0.0000 0.0000 0.6709
Au1 0.0000 0.5000 0.1579
Au2 0.0000 0.5000 0.5000
Au3 0.0000 0.5000 0.8421
Au4 0.5000 0.0000 0.1579
Au5 0.5000 0.0000 0.5000
Au6 0.5000 0.0000 0.8421
Au7 0.5000 0.5000 0.0000
Au8 0.5000 0.5000 0.3279
Au9 0.5000 0.5000 0.6721

Top 10 peaks for 10° ≤ 2θ ≤ 90°, by intensity:
2θ/deg	d/Å	I (rel.)
37.4	2.404	100
43.5	2.082	49
63.2	1.472	32
75.7	1.256	26
75.8	1.255	12
79.8	1.202	11
21.3	4.164	9
30.4	2.944	8
48.9	1.862	5
53.9	1.700	3

Diffraction record for Li9Cd4Au11. The X-ray diffraction stick pattern is simulated, not measured: it uses DFT lattice parameters and positions (GGA-PBE) and Cu Kα X-rays.

Atomic structure:
a = 12.2570 Å, b = 12.2570 Å, c = 2.8979 Å
α = 90.00°, β = 90.00°, γ = 109.41°
Sites, in units of the cell vectors:
Li1 0.0000 0.0000 0.0000
Li2 0.1090 0.6610 0.0000
Li3 0.3001 0.4939 0.0000
Li4 0.3390 0.8910 0.0000
Li5 0.4939 0.3001 0.0000
Li6 0.5061 0.6999 0.0000
Li7 0.6610 0.1090 0.0000
Li8 0.6999 0.5061 0.0000
Li9 0.8910 0.3390 0.0000
Cd1 0.0845 0.2553 0.0000
Cd2 0.2553 0.0845 0.0000
Cd3 0.7447 0.9155 0.0000
Cd4 0.9155 0.7447 0.0000
Au1 0.1043 0.4700 0.5000
Au2 0.1249 0.8751 0.5000
Au3 0.3014 0.3014 0.5000
Au4 0.3084 0.6916 0.5000
Au5 0.4700 0.1043 0.5000
Au6 0.5000 0.5000 0.5000
Au7 0.5300 0.8957 0.5000
Au8 0.6916 0.3084 0.5000
Au9 0.6986 0.6986 0.5000
Au10 0.8751 0.1249 0.5000
Au11 0.8957 0.5300 0.5000

Top 10 peaks for 10° ≤ 2θ ≤ 90°, by intensity:
2θ/deg	d/Å	I (rel.)
38.9	2.313	100
23.1	3.851	100
41.3	2.187	49
40.2	2.243	44
50.5	1.807	43
25.1	3.541	41
36.7	2.449	40
30.9	2.898	38
38.1	2.361	32
69.4	1.353	28

Diffraction record for Li3CdAu6. The X-ray diffraction stick pattern is simulated, not measured: it uses DFT lattice parameters and positions (GGA-PBE) and Cu Kα X-rays.

Atomic structure:
a = 4.7978 Å, b = 7.6137 Å, c = 9.9159 Å
α = 108.89°, β = 90.03°, γ = 90.02°
Sites, in units of the cell vectors:
Li1 0.2494 0.2003 0.4752
Li2 0.2492 0.8141 0.8664
Li3 0.2504 0.4067 0.2759
Li4 0.7496 0.5933 0.7241
Li5 0.7508 0.1859 0.1336
Li6 0.7506 0.7997 0.5248
Cd1 0.2504 0.6087 0.0730
Cd2 0.7496 0.3913 0.9270
Au1 0.2490 0.0000 0.6681
Au2 0.2493 0.4109 0.7641
Au3 0.2497 0.2013 0.9752
Au4 0.2500 0.6034 0.5695
Au5 0.2508 0.0176 0.1750
Au6 0.2510 0.8034 0.3730
Au7 0.7490 0.1966 0.6270
Au8 0.7492 0.9824 0.8250
Au9 0.7500 0.3966 0.4305
Au10 0.7503 0.7987 0.0248
Au11 0.7510 0.0000 0.3319
Au12 0.7507 0.5891 0.2359

Top 10 peaks for 10° ≤ 2θ ≤ 90°, by intensity:
2θ/deg	d/Å	I (rel.)
40.8	2.211	100
41.0	2.202	56
25.8	3.457	49
37.5	2.399	46
36.0	2.492	28
69.9	1.346	22
53.0	1.728	19
31.2	2.865	18
17.8	4.987	12
70.0	1.344	12